[1]
This entry pairs a crystal structure of Sr3LaCu4O8 with its calculated X-ray powder pattern. Radiation: Cu Ka. Structure: a DFT-relaxed cell (GGA-PBE, Alexandria).
Kinematic intensities with the Lorentz-polarization factor, no thermal factor.

Atomic structure:
a = 3.6769 Å, b = 11.0750 Å, c = 11.1650 Å
α = 90.00°, β = 90.00°, γ = 90.00°
Sites, in units of the cell vectors:
Sr (0.0000, 0.0053, 0.0000)
Sr (0.0000, 0.2153, 0.7276)
Sr (0.0000, 0.4877, 0.9310)
Sr (0.0000, 0.5123, 0.4310)
Sr (0.0000, 0.7847, 0.2276)
Sr (0.0000, 0.9947, 0.5000)
La (0.0000, 0.2873, 0.2038)
La (0.0000, 0.7127, 0.7038)
Cu (0.5000, 0.0406, 0.2576)
Cu (0.5000, 0.2470, 0.9644)
Cu (0.5000, 0.2489, 0.4666)
Cu (0.5000, 0.4619, 0.6824)
Cu (0.5000, 0.5381, 0.1824)
Cu (0.5000, 0.7511, 0.9666)
Cu (0.5000, 0.7530, 0.4644)
Cu (0.5000, 0.9594, 0.7576)
O (0.0000, 0.0690, 0.2740)
O (0.0000, 0.4716, 0.6769)
O (0.0000, 0.5284, 0.1769)
O (0.0000, 0.9310, 0.7740)
O (0.5000, 0.1050, 0.8664)
O (0.5000, 0.1370, 0.5842)
O (0.5000, 0.1539, 0.1123)
O (0.5000, 0.3510, 0.8262)
O (0.5000, 0.3567, 0.3429)
O (0.5000, 0.3863, 0.0688)
O (0.5000, 0.6137, 0.5688)
O (0.5000, 0.6433, 0.8430)
O (0.5000, 0.6490, 0.3262)
O (0.5000, 0.8461, 0.6123)
O (0.5000, 0.8630, 0.0842)
O (0.5000, 0.8950, 0.3664)

Top 10 peaks for 2θ = 10–90°, low angle first:
2theta	d/Å	Rel. int.
32.1	2.791	15.8
32.3	2.769	14.0
33.1	2.707	9.5
33.4	2.686	100.0
38.1	2.363	12.1
40.6	2.223	11.7
46.2	1.966	13.1
49.6	1.838	13.2
58.0	1.590	8.1
70.1	1.343	9.0

=====

[2]
This entry pairs a crystal structure of SrLa3Cu2O8 with its calculated X-ray powder pattern. Radiation: Cu Ka. Structure: a DFT-relaxed cell (GGA-PBE, Alexandria).
Kinematic intensities with the Lorentz-polarization factor, no thermal factor.

Atomic structure:
a = 5.3686 Å, b = 7.0960 Å, c = 7.0960 Å
α = 44.48°, β = 90.00°, γ = 90.00°
Sites, in units of the cell vectors:
Sr (0.0000, 0.0000, 0.0000)
La (0.0000, 0.2817, 0.2817)
La (0.5000, 0.5025, 0.5025)
La (0.5000, 0.7835, 0.7835)
Cu (0.0000, 0.6428, 0.6428)
Cu (0.5000, 0.1375, 0.1375)
O (0.0000, 0.4596, 0.4596)
O (0.0000, 0.8120, 0.8120)
O (0.2541, 0.3971, 0.8928)
O (0.2541, 0.8928, 0.3971)
O (0.5000, 0.3251, 0.3251)
O (0.5000, 0.9608, 0.9608)
O (0.7459, 0.3971, 0.8928)
O (0.7459, 0.8928, 0.3971)

Top 10 peaks for 2θ = 10–90°, low angle first:
2theta	d/Å	Rel. int.
24.4	3.648	16.3
31.2	2.869	100.0
33.4	2.685	64.7
41.2	2.189	12.6
41.8	2.161	19.0
43.5	2.079	24.1
47.9	1.899	32.6
54.0	1.697	13.3
54.5	1.683	14.4
58.3	1.583	34.5

=====

[3]
This entry pairs a crystal structure of SrLa2Cu2O6 with its calculated X-ray powder pattern. Radiation: Cu Ka. Structure: a DFT-relaxed cell (GGA-PBE, Alexandria).
Kinematic intensities with the Lorentz-polarization factor, no thermal factor.

Atomic structure:
a = 10.3683 Å, b = 10.3683 Å, c = 10.3683 Å
α = 158.45°, β = 158.45°, γ = 30.65°
Sites, in units of the cell vectors:
Sr (0.0000, 0.0000, 0.0000)
La (0.1775, 0.1775, 0.0000)
La (0.8225, 0.8225, 0.0000)
Cu (0.4106, 0.4106, 0.0000)
Cu (0.5894, 0.5894, 0.0000)
O (0.0890, 0.5890, 0.5000)
O (0.2925, 0.2925, 0.0000)
O (0.4110, 0.9110, 0.5000)
O (0.5890, 0.0890, 0.5000)
O (0.7075, 0.7075, 0.0000)
O (0.9110, 0.4110, 0.5000)

Top 10 peaks for 2θ = 10–90°, low angle first:
2theta	d/Å	Rel. int.
26.6	3.351	19.8
32.2	2.783	100.0
32.7	2.741	67.0
39.2	2.300	19.6
42.7	2.117	20.8
46.9	1.938	38.7
58.0	1.590	37.0
68.5	1.370	11.5
77.9	1.226	10.8
86.4	1.126	10.0

=====

[4]
This entry pairs a crystal structure of SrLaTlCuO5 with its calculated X-ray powder pattern. Radiation: Cu Ka. Structure: a DFT-relaxed cell (GGA-PBE, Alexandria).
Kinematic intensities with the Lorentz-polarization factor, no thermal factor.

Atomic structure:
a = 3.8085 Å, b = 3.8085 Å, c = 8.9183 Å
α = 90.00°, β = 90.00°, γ = 90.00°
Sites, in units of the cell vectors:
Sr (0.0000, 0.0000, 0.0000)
La (0.0000, 0.0000, 0.4128)
Tl (0.5000, 0.5000, 0.7131)
Cu (0.5000, 0.5000, 0.2068)
O (0.0000, 0.0000, 0.6954)
O (0.0000, 0.5000, 0.2257)
O (0.5000, 0.0000, 0.2257)
O (0.5000, 0.5000, 0.4768)
O (0.5000, 0.5000, 0.9482)

Top 10 peaks for 2θ = 10–90°, low angle first:
2theta	d/Å	Rel. int.
25.4	3.503	32.8
30.9	2.896	100.0
33.3	2.693	64.0
40.5	2.230	14.0
45.4	1.996	23.3
47.8	1.904	28.7
53.3	1.717	18.9
57.0	1.615	13.1
58.0	1.591	35.1
64.3	1.448	13.2

=====

[5]
This entry pairs a crystal structure of LaCuTe2O8 with its calculated X-ray powder pattern. Radiation: Cu Ka. Structure: a DFT-relaxed cell (GGA-PBE, Alexandria).
Kinematic intensities with the Lorentz-polarization factor, no thermal factor.

Atomic structure:
a = 5.1465 Å, b = 5.1465 Å, c = 6.3930 Å
α = 90.00°, β = 90.00°, γ = 95.51°
Sites, in units of the cell vectors:
La (0.0000, 0.0000, 0.0000)
Cu (0.0000, 0.0000, 0.5000)
Te (0.5000, 0.5000, 0.2617)
Te (0.5000, 0.5000, 0.7383)
O (0.2220, 0.2220, 0.2712)
O (0.2220, 0.2220, 0.7288)
O (0.3230, 0.6770, 0.5000)
O (0.3327, 0.6673, 0.0000)
O (0.6673, 0.3327, 0.0000)
O (0.6770, 0.3230, 0.5000)
O (0.7780, 0.7780, 0.2712)
O (0.7780, 0.7780, 0.7288)

Top 10 peaks for 2θ = 10–90°, low angle first:
2theta	d/Å	Rel. int.
23.3	3.810	86.7
25.7	3.460	60.4
33.0	2.712	100.0
35.0	2.561	32.1
47.6	1.911	53.6
47.7	1.905	12.8
50.2	1.816	38.1
52.9	1.730	11.9
58.6	1.575	12.3
61.6	1.506	27.2

=====

[6]
This entry pairs a crystal structure of La2Ti2CuO8 with its calculated X-ray powder pattern. Radiation: Cu Ka. Structure: a DFT-relaxed cell (GGA-PBE, Alexandria).
Kinematic intensities with the Lorentz-polarization factor, no thermal factor.

Atomic structure:
a = 3.7376 Å, b = 3.7376 Å, c = 12.3321 Å
α = 90.00°, β = 90.00°, γ = 90.00°
Sites, in units of the cell vectors:
La (0.0000, 0.5000, 0.1179)
La (0.5000, 0.0000, 0.8821)
Ti (0.0000, 0.5000, 0.7003)
Ti (0.5000, 0.0000, 0.2997)
Cu (0.0000, 0.0000, 0.5000)
O (0.0000, 0.0000, 0.2595)
O (0.0000, 0.0000, 0.7405)
O (0.0000, 0.5000, 0.5529)
O (0.0000, 0.5000, 0.9247)
O (0.5000, 0.0000, 0.0753)
O (0.5000, 0.0000, 0.4471)
O (0.5000, 0.5000, 0.2550)
O (0.5000, 0.5000, 0.7450)

Top 10 peaks for 2θ = 10–90°, low angle first:
2theta	d/Å	Rel. int.
27.9	3.196	100.0
32.4	2.765	30.7
33.9	2.643	24.7
34.7	2.584	30.7
36.4	2.466	21.1
45.2	2.007	34.0
48.7	1.869	30.0
50.6	1.803	17.2
57.1	1.613	26.2
62.3	1.490	16.1